(1)
This entry pairs a crystal structure of Nd2Te2Cl with its simulated PXRD pattern. Radiation: Cu Kα, 1.54184 Å. Structure: a GGA-PBE-relaxed structure.

Most intense lines, 15° ≤ 2θ ≤ 90°, most intense first:
2θ = 28.39°, I = 100.0
2θ = 27.80°, I = 99.4
2θ = 42.55°, I = 85.3
2θ = 31.03°, I = 76.9
2θ = 40.16°, I = 73.8
2θ = 21.14°, I = 50.2
2θ = 51.96°, I = 35.2
2θ = 51.22°, I = 33.4
2θ = 41.71°, I = 29.7
2θ = 35.67°, I = 26.7

Structural model:
Unit cell a=7.6601 b=7.6601 c=8.7118 alpha=111.93 beta=111.93 gamma=48.46
Positions (direct):
Nd  0.0084  0.0084  0.2498
Nd  0.3341  0.3341  0.9158
Nd  0.6659  0.6659  0.0842
Nd  0.9916  0.9916  0.7502
Te  0.1838  0.1838  0.1130
Te  0.4819  0.4819  0.7213
Te  0.5181  0.5181  0.2787
Te  0.8162  0.8162  0.8870
Cl  0.1439  0.1439  0.6059
Cl  0.8561  0.8561  0.3941

---

(2)
This entry pairs a crystal structure of Nd4ZnTe2Cl with its simulated PXRD pattern. Radiation: Cu Kα, 1.54184 Å. Structure: a GGA-PBE-relaxed structure.

Most intense lines, 15° ≤ 2θ ≤ 90°, most intense first:
2θ = 28.96°, I = 100.0
2θ = 41.77°, I = 24.7
2θ = 41.04°, I = 24.6
2θ = 60.01°, I = 13.6
2θ = 40.41°, I = 12.9
2θ = 52.18°, I = 12.8
2θ = 42.43°, I = 11.9
2θ = 68.50°, I = 10.8
2θ = 67.45°, I = 10.1
2θ = 49.84°, I = 7.3

Structural model:
Unit cell a=7.5294 b=4.2607 c=7.7059 alpha=90.00 beta=108.24 gamma=90.00
Positions (direct):
Nd  0.2383  0.0000  0.2315
Nd  0.2479  0.5000  0.7688
Nd  0.7521  0.5000  0.2312
Nd  0.7617  0.0000  0.7685
Zn  0.0000  0.5000  0.0000
Te  0.0000  0.0000  0.5000
Te  0.5000  0.5000  0.5000
Cl  0.5000  0.0000  0.0000

---

(3)
This entry pairs a crystal structure of Nd6TlCl8 with its simulated PXRD pattern. Radiation: Cu Kα, 1.54184 Å. Structure: a GGA-PBE-relaxed structure.

Most intense lines, 15° ≤ 2θ ≤ 90°, most intense first:
2θ = 30.57°, I = 100.0
2θ = 42.63°, I = 40.3
2θ = 26.83°, I = 36.8
2θ = 44.90°, I = 31.6
2θ = 36.02°, I = 24.5
2θ = 55.29°, I = 16.9
2θ = 70.58°, I = 16.1
2θ = 73.87°, I = 13.4
2θ = 45.73°, I = 12.7
2θ = 63.63°, I = 11.3

Structural model:
Unit cell a=11.4087 b=11.4087 c=11.4087 alpha=35.70 beta=35.70 gamma=35.70
Positions (direct):
Nd  0.0933  0.4439  0.7934
Nd  0.2066  0.9067  0.5561
Nd  0.4439  0.7934  0.0933
Nd  0.5561  0.2066  0.9067
Nd  0.7934  0.0933  0.4439
Nd  0.9067  0.5561  0.2066
Tl  0.5000  0.5000  0.5000
Cl  0.0743  0.7062  0.3896
Cl  0.1666  0.1666  0.1666
Cl  0.2938  0.6104  0.9257
Cl  0.3896  0.0743  0.7062
Cl  0.6104  0.9257  0.2938
Cl  0.7062  0.3896  0.0743
Cl  0.8334  0.8334  0.8334
Cl  0.9257  0.2938  0.6104

---

(4)
This entry pairs a crystal structure of NdTl2Cl5 with its simulated PXRD pattern. Radiation: Cu Kα, 1.54184 Å. Structure: a GGA-PBE-relaxed structure.

Most intense lines, 15° ≤ 2θ ≤ 90°, most intense first:
2θ = 22.91°, I = 100.0
2θ = 23.79°, I = 65.8
2θ = 30.65°, I = 54.5
2θ = 24.24°, I = 45.1
2θ = 21.46°, I = 44.9
2θ = 30.35°, I = 44.9
2θ = 32.60°, I = 42.3
2θ = 40.85°, I = 41.5
2θ = 41.33°, I = 38.0
2θ = 47.33°, I = 30.3

Structural model:
Unit cell a=13.1845 b=8.8415 c=8.2802 alpha=90.00 beta=90.00 gamma=90.00
Positions (direct):
Nd  0.0049  0.2500  0.0739
Nd  0.4951  0.7500  0.5739
Nd  0.5049  0.2500  0.4261
Nd  0.9951  0.7500  0.9261
Tl  0.1727  0.0035  0.5493
Tl  0.1727  0.4965  0.5493
Tl  0.3273  0.5035  0.0493
Tl  0.3273  0.9965  0.0493
Tl  0.6727  0.0035  0.9507
Tl  0.6727  0.4965  0.9507
Tl  0.8273  0.5035  0.4507
Tl  0.8273  0.9965  0.4507
Cl  0.0096  0.2500  0.4128
Cl  0.0739  0.5432  0.1614
Cl  0.0739  0.9568  0.1614
Cl  0.1785  0.2500  0.8827
Cl  0.2002  0.7500  0.8417
Cl  0.2998  0.2500  0.3417
Cl  0.3215  0.7500  0.3827
Cl  0.4261  0.0432  0.6614
Cl  0.4261  0.4568  0.6614
Cl  0.4904  0.7500  0.9128
Cl  0.5096  0.2500  0.0872
Cl  0.5739  0.5432  0.3386
Cl  0.5739  0.9568  0.3386
Cl  0.6785  0.2500  0.6173
Cl  0.7002  0.7500  0.6583
Cl  0.7998  0.2500  0.1583
Cl  0.8215  0.7500  0.1173
Cl  0.9261  0.0432  0.8386
Cl  0.9261  0.4568  0.8386
Cl  0.9904  0.7500  0.5872

---

(5)
This entry pairs a crystal structure of NdYCl6 with its simulated PXRD pattern. Radiation: Cu Kα, 1.54184 Å. Structure: a GGA-PBE-relaxed structure.

Most intense lines, 15° ≤ 2θ ≤ 90°, most intense first:
2θ = 17.73°, I = 100.0
2θ = 39.07°, I = 48.5
2θ = 24.23°, I = 36.7
2θ = 29.81°, I = 33.9
2θ = 41.50°, I = 27.9
2θ = 46.02°, I = 24.2
2θ = 35.90°, I = 18.8
2θ = 56.95°, I = 18.0
2θ = 44.91°, I = 16.3
2θ = 31.72°, I = 15.7

Structural model:
Unit cell a=7.3894 b=7.3894 c=7.3894 alpha=55.06 beta=55.06 gamma=55.06
Positions (direct):
Nd  0.0000  0.0000  0.0000
Y  0.5000  0.5000  0.5000
Cl  0.1073  0.7440  0.4034
Cl  0.2560  0.5966  0.8927
Cl  0.4034  0.1073  0.7440
Cl  0.5966  0.8927  0.2560
Cl  0.7440  0.4034  0.1073
Cl  0.8927  0.2560  0.5966

---

(6)
This entry pairs a crystal structure of Nd3ZnCl3 with its simulated PXRD pattern. Radiation: Cu Kα, 1.54184 Å. Structure: a GGA-PBE-relaxed structure.

Most intense lines, 15° ≤ 2θ ≤ 90°, most intense first:
2θ = 30.70°, I = 100.0
2θ = 43.96°, I = 72.5
2θ = 15.21°, I = 44.8
2θ = 26.50°, I = 31.9
2θ = 72.58°, I = 31.5
2θ = 34.43°, I = 25.4
2θ = 54.57°, I = 25.1
2θ = 80.83°, I = 23.6
2θ = 52.07°, I = 16.9
2θ = 21.57°, I = 15.8

Structural model:
Unit cell a=5.8252 b=5.8252 c=5.8252 alpha=90.00 beta=90.00 gamma=90.00
Positions (direct):
Nd  0.0000  0.0000  0.5000
Nd  0.0000  0.5000  0.0000
Nd  0.5000  0.0000  0.0000
Zn  0.0000  0.0000  0.0000
Cl  0.0000  0.5000  0.5000
Cl  0.5000  0.0000  0.5000
Cl  0.5000  0.5000  0.0000

---

(7)
This entry pairs a crystal structure of Ni15Cl16 with its simulated PXRD pattern. Radiation: Cu Kα, 1.54184 Å. Structure: a GGA-PBE-relaxed structure.

Most intense lines, 15° ≤ 2θ ≤ 90°, most intense first:
2θ = 36.05°, I = 100.0
2θ = 51.90°, I = 63.4
2θ = 87.56°, I = 25.4
2θ = 64.81°, I = 20.2
2θ = 31.09°, I = 13.5
2θ = 76.46°, I = 9.0
2θ = 61.74°, I = 6.2
2θ = 21.84°, I = 5.4
2θ = 50.13°, I = 2.6
2θ = 84.81°, I = 2.1

Structural model:
Unit cell a=8.6311 b=8.6311 c=8.6311 alpha=109.47 beta=109.47 gamma=109.47
Positions (direct):
Ni  0.0000  0.2448  0.7552
Ni  0.0000  0.5000  0.5000
Ni  0.0000  0.7552  0.2448
Ni  0.2448  0.0000  0.7552
Ni  0.2448  0.2448  0.4896
Ni  0.2448  0.4896  0.2448
Ni  0.2448  0.7552  0.0000
Ni  0.4896  0.2448  0.2448
Ni  0.5000  0.0000  0.5000
Ni  0.5000  0.5000  0.0000
Ni  0.5104  0.7552  0.7552
Ni  0.7552  0.0000  0.2448
Ni  0.7552  0.2448  0.0000
Ni  0.7552  0.5104  0.7552
Ni  0.7552  0.7552  0.5104
Cl  0.0000  0.0000  0.5000
Cl  0.0000  0.2618  0.2618
Cl  0.0000  0.5000  0.0000
Cl  0.0000  0.7382  0.7382
Cl  0.2500  0.5000  0.7500
Cl  0.2500  0.7500  0.5000
Cl  0.2618  0.0000  0.2618
Cl  0.2618  0.2618  0.0000
Cl  0.5000  0.0000  0.0000
Cl  0.5000  0.2500  0.7500
Cl  0.5000  0.5000  0.5000
Cl  0.5000  0.7500  0.2500
Cl  0.7382  0.0000  0.7382
Cl  0.7382  0.7382  0.0000
Cl  0.7500  0.2500  0.5000
Cl  0.7500  0.5000  0.2500

---

(8)
This entry pairs a crystal structure of Ni6Cl7 with its simulated PXRD pattern. Radiation: Cu Kα, 1.54184 Å. Structure: a GGA-PBE-relaxed structure.

Most intense lines, 15° ≤ 2θ ≤ 90°, most intense first:
2θ = 16.58°, I = 100.0
2θ = 36.02°, I = 73.9
2θ = 26.15°, I = 70.1
2θ = 20.38°, I = 54.8
2θ = 47.24°, I = 45.9
2θ = 29.12°, I = 44.5
2θ = 49.59°, I = 42.1
2θ = 45.22°, I = 41.3
2θ = 27.39°, I = 41.0
2θ = 48.95°, I = 39.5

Structural model:
Unit cell a=6.2693 b=7.3772 c=10.6303 alpha=88.17 beta=89.97 gamma=80.36
Positions (direct):
Ni  0.0000  0.0000  0.0000
Ni  0.0000  0.5000  0.0000
Ni  0.1158  0.2617  0.7075
Ni  0.2321  0.1953  0.3468
Ni  0.3255  0.0558  0.5476
Ni  0.3897  0.6725  0.1660
Ni  0.4604  0.7166  0.5374
Ni  0.5396  0.2834  0.4626
Ni  0.6103  0.3275  0.8340
Ni  0.6745  0.9442  0.4524
Ni  0.7679  0.8047  0.6532
Ni  0.8842  0.7383  0.2925
Cl  0.0152  0.7559  0.4978
Cl  0.1171  0.9560  0.2190
Cl  0.1369  0.4700  0.2158
Cl  0.2194  0.7216  0.9692
Cl  0.2884  0.2467  0.9065
Cl  0.4205  0.4135  0.6403
Cl  0.4209  0.8712  0.7130
Cl  0.5791  0.1288  0.2870
Cl  0.5795  0.5865  0.3597
Cl  0.7116  0.7533  0.0935
Cl  0.7806  0.2784  0.0308
Cl  0.8631  0.5300  0.7842
Cl  0.8829  0.0440  0.7810
Cl  0.9848  0.2441  0.5022